Entry 1:
Structure and computed X-ray diffraction stick pattern of PrMgCuSi2 (a cell relaxed with GGA-PBE; Cu Kα (λ = 1.5418 Å)).
No peak broadening, texture or thermal motion is included.

Main lines, low angle first (15° ≤ 2θ ≤ 90°):
2theta  intensity
22.8  52
32.8  58
34.6  100
43.4  37
47.3  27
55.4  25
66.1  20
73.9  21

Cell and atoms:
Cell lengths 4.174, 4.174, 10.813 Å; angles 90.00, 90.00, 90.00 degrees
Fractional positions:
Pr  0.000  0.000  0.000
Pr  0.500  0.500  0.500
Mg  0.000  0.500  0.250
Mg  0.500  0.000  0.750
Cu  0.000  0.500  0.750
Cu  0.500  0.000  0.250
Si  0.000  0.000  0.390
Si  0.000  0.000  0.610
Si  0.500  0.500  0.110
Si  0.500  0.500  0.890

Entry 2:
Structure and computed X-ray diffraction stick pattern of Rb2BaMoBr8 (a cell relaxed with GGA-PBE; Cu Kα (λ = 1.5418 Å)).
No peak broadening, texture or thermal motion is included.

Main lines, low angle first (15° ≤ 2θ ≤ 90°):
2theta  intensity
21.5  25
21.8  32
28.7  100
29.7  40
36.5  33
38.2  15
43.8  14
46.6  26

Cell and atoms:
Cell lengths 6.477, 8.676, 9.432 Å; angles 89.93, 89.93, 68.11 degrees
Fractional positions:
Rb  0.004  0.001  0.241
Rb  0.996  0.999  0.759
Ba  0.500  0.500  0.500
Mo  0.500  0.500  0.000
Br  0.008  0.257  0.502
Br  0.090  0.670  0.002
Br  0.442  0.309  0.804
Br  0.445  0.308  0.196
Br  0.555  0.692  0.804
Br  0.558  0.691  0.196
Br  0.910  0.330  0.998
Br  0.992  0.743  0.498

Entry 3:
Structure and computed X-ray diffraction stick pattern of Pr6Nd2DyY (a cell relaxed with GGA-PBE; Cu Kα (λ = 1.5418 Å)).
No peak broadening, texture or thermal motion is included.

Main lines, low angle first (15° ≤ 2θ ≤ 90°):
2theta  intensity
27.8  56
29.7  77
29.8  100
30.3  73
30.6  64
30.7  100
31.2  30
32.7  94

Cell and atoms:
Cell lengths 9.072, 9.072, 9.903 Å; angles 94.27, 94.27, 118.33 degrees
Fractional positions:
Pr  0.014  0.571  0.190
Pr  0.121  0.756  0.554
Pr  0.244  0.879  0.946
Pr  0.292  0.500  0.382
Pr  0.429  0.986  0.310
Pr  0.500  0.292  0.882
Pr  0.500  0.708  0.118
Pr  0.571  0.014  0.690
Pr  0.708  0.500  0.618
Pr  0.756  0.121  0.054
Pr  0.879  0.244  0.446
Pr  0.986  0.429  0.810
Nd  0.195  0.297  0.043
Nd  0.297  0.195  0.543
Nd  0.703  0.805  0.457
Nd  0.805  0.703  0.957
Dy  0.409  0.591  0.750
Dy  0.591  0.409  0.250
Y  0.022  0.978  0.250
Y  0.978  0.022  0.750

Entry 4:
Structure and computed X-ray diffraction stick pattern of Li3NdSe3 (a cell relaxed with GGA-PBE; Cu Kα (λ = 1.5418 Å)).
No peak broadening, texture or thermal motion is included.

Main lines, low angle first (15° ≤ 2θ ≤ 90°):
2theta  intensity
16.2  20
27.2  100
35.5  56
42.1  37
46.4  23
50.8  16
56.2  14
70.0  14

Cell and atoms:
Cell lengths 8.127, 8.127, 8.127 Å; angles 54.48, 54.48, 54.48 degrees
Fractional positions:
Li  0.130  0.425  0.811
Li  0.189  0.870  0.575
Li  0.425  0.811  0.130
Li  0.575  0.189  0.870
Li  0.811  0.130  0.425
Li  0.870  0.575  0.189
Nd  0.334  0.334  0.334
Nd  0.666  0.666  0.666
Se  0.081  0.729  0.444
Se  0.271  0.556  0.919
Se  0.444  0.081  0.729
Se  0.556  0.919  0.271
Se  0.729  0.444  0.081
Se  0.919  0.271  0.556